Li9Mn2Co5O16: theoretical X-ray powder pattern (Cu Kα, 1.54184 Å), based on the GGA+U geometry in Alexandria.
Kinematic intensities with the Lorentz-polarization factor, no thermal factor.

Largest 12 diffraction maxima, sorted by position, 2θ = 10–80°:
| 2theta | Rel. int. | hkl |
| --- | --- | --- |
| 18.45 | 100 | 0 1 1 |
| 35.61 | 15 | 1 1 -3 |
| 36.53 | 12 | 1 -1 3 |
| 36.90 | 12 | 2 1 1 |
| 42.86 | 29 | 1 0 -4 |
| 44.29 | 26 | 1 -2 2 |
| 44.71 | 25 | 2 2 2 |
| 63.22 | 7 | 1 2 6 |
| 63.24 | 7 | -2 2 2 |
| 63.44 | 7 | 0 2 -6 |
| 64.11 | 14 | 3 2 -2 |
| 65.40 | 7 | 3 0 4 |

Structure:
```
data_Li9Mn2Co5O16
_chemical_formula_sum 'Li9 Mn2 Co5 O16'
_cell_length_a 4.9594
_cell_length_b 5.8105
_cell_length_c 10.2205
_cell_angle_alpha 89.77
_cell_angle_beta 82.24
_cell_angle_gamma 73.70
_symmetry_space_group_name_H-M 'P 1'
_symmetry_Int_Tables_number 1
_symmetry_space_group_name_Hall 'P 1'
loop_
_atom_site_label
_atom_site_type_symbol
_atom_site_fract_x
_atom_site_fract_y
_atom_site_fract_z
Li1 Li 0.0000 0.0000 0.0000
Li2 Li 0.0013 0.2514 0.2351
Li3 Li 0.0089 0.4980 0.0035
Li4 Li 0.4891 0.8760 0.6270
Li5 Li 0.4901 0.6290 0.8795
Li6 Li 0.4996 0.1280 0.3735
Li7 Li 0.5091 0.3726 0.1197
Li8 Li 0.9846 0.0038 0.5007
Li9 Li 0.9907 0.7574 0.7584
Mn1 Mn 0.4993 0.8775 0.1195
Mn2 Mn 0.9930 0.2477 0.7511
Co1 Co 0.0006 0.7535 0.2421
Co2 Co 0.4886 0.1253 0.8790
Co3 Co 0.4902 0.3772 0.6280
Co4 Co 0.4925 0.6304 0.3756
Co5 Co 0.9888 0.5118 0.5041
O1 O 0.2338 0.2060 0.5757
O2 O 0.2344 0.4698 0.3211
O3 O 0.2389 0.6677 0.5690
O4 O 0.2466 0.9638 0.8095
O5 O 0.2571 0.4137 0.8028
O6 O 0.2600 0.9168 0.2996
O7 O 0.2637 0.6948 0.0679
O8 O 0.2702 0.1727 0.0659
O9 O 0.7151 0.3438 0.4530
O10 O 0.7149 0.8340 0.9472
O11 O 0.7286 0.8009 0.4362
O12 O 0.7462 0.5413 0.6870
O13 O 0.7471 0.0403 0.1907
O14 O 0.7474 0.0875 0.6855
O15 O 0.7509 0.5850 0.1853
O16 O 0.7558 0.2975 0.9175
```